1.
# Pm2AsRh3
Simulated powder diffractogram, Cu Kα, 1.54184 Å. Input: a structure optimized by DFT (PBE).
Peak positions follow from Bragg's law for the DFT cell and can differ from measured ones.

```
data_Pm2AsRh3
_cell_length_a 5.6479
_cell_length_b 5.6479
_cell_length_c 12.1102
_cell_angle_alpha 90.00
_cell_angle_beta 90.00
_cell_angle_gamma 120.00
_symmetry_space_group_name_H-M 'R -3 m'
_symmetry_Int_Tables_number 166
_symmetry_space_group_name_Hall '-R 3 2"'
loop_
_atom_site_label
_atom_site_fract_x
_atom_site_fract_y
_atom_site_fract_z
Pm1 0.0000 0.0000 0.1258
As1 0.0000 0.0000 0.5000
Rh1 0.0000 0.5000 0.0000
```

The 10 most intense peaks (2θ = 10–80°), low angle first:
Position (°2θ)  d_spacing  I (rel.)
31.69  2.824  40
34.85  2.574  45
37.52  2.397  71
38.92  2.314  100
39.75  2.268  46
41.61  2.171  40
61.32  1.512  26
63.28  1.470  23
66.18  1.412  45
73.59  1.287  23

***

2.
# Ca3In2Sb4
Simulated powder diffractogram, Cu Kα, 1.54184 Å. Input: a structure optimized by DFT (PBE).
Peak positions follow from Bragg's law for the DFT cell and can differ from measured ones.

```
data_Ca3In2Sb4
_cell_length_a 6.9825
_cell_length_b 17.1510
_cell_length_c 4.7309
_cell_angle_alpha 90.00
_cell_angle_beta 90.00
_cell_angle_gamma 90.00
_symmetry_space_group_name_H-M 'P n n m'
_symmetry_Int_Tables_number 58
loop_
_symmetry_equiv_pos_as_xyz
'x,y,z'
'-x,-y,-z'
'-x,-y,z'
'x,y,-z'
'x+1/2,-y+1/2,-z+1/2'
'-x+1/2,y+1/2,z+1/2'
'-x+1/2,y+1/2,-z+1/2'
'x+1/2,-y+1/2,z+1/2'
loop_
_atom_site_label
_atom_site_fract_x
_atom_site_fract_y
_atom_site_fract_z
Ca1 0.0000 0.0000 0.0000
Ca2 0.2160 0.3062 0.5000
In1 0.1450 0.5903 0.0000
Sb1 0.2179 0.1757 0.0000
Sb2 0.2358 0.9278 0.5000
```

The 10 most intense peaks (2θ = 10–80°), low angle first:
Position (°2θ)  d_spacing  I (rel.)
19.46  4.561  36
24.40  3.648  54
25.51  3.491  54
32.24  2.776  100
33.57  2.670  39
35.61  2.521  40
38.04  2.365  43
41.54  2.174  47
43.61  2.075  27
46.33  1.960  35

***

3.
# V8Ga41
Simulated powder diffractogram, Cu Kα, 1.54184 Å. Input: a structure optimized by DFT (PBE).
Peak positions follow from Bragg's law for the DFT cell and can differ from measured ones.

```
data_V8Ga41
_cell_length_a 13.9852
_cell_length_b 13.9852
_cell_length_c 14.9388
_cell_angle_alpha 90.00
_cell_angle_beta 90.00
_cell_angle_gamma 120.00
_symmetry_space_group_name_H-M 'R -3'
_symmetry_Int_Tables_number 148
_symmetry_space_group_name_Hall '-R 3'
loop_
_atom_site_label
_atom_site_fract_x
_atom_site_fract_y
_atom_site_fract_z
V1 0.0000 0.0000 0.1862
V2 0.0142 0.7044 0.5988
Ga1 0.0000 0.0000 0.0000
Ga2 0.0000 0.0000 0.5000
Ga3 0.0000 0.5000 0.0000
Ga4 0.0007 0.1829 0.7845
Ga5 0.0078 0.8844 0.6648
Ga6 0.0093 0.6894 0.7672
Ga7 0.0128 0.1696 0.1139
Ga8 0.0142 0.5303 0.6606
Ga9 0.0904 0.5353 0.1701
```

The 10 most intense peaks (2θ = 10–80°), low angle first:
Position (°2θ)  d_spacing  I (rel.)
31.26  2.861  95
34.44  2.604  41
35.95  2.498  34
38.57  2.334  49
40.44  2.231  81
41.97  2.153  32
42.84  2.111  30
44.68  2.028  100
44.90  2.019  80
73.94  1.282  29

***

4.
# SmTmZnSn
Simulated powder diffractogram, Cu Kα, 1.54184 Å. Input: a structure optimized by DFT (PBE).
Peak positions follow from Bragg's law for the DFT cell and can differ from measured ones.

```
data_SmTmZnSn
_cell_length_a 7.3590
_cell_length_b 7.3590
_cell_length_c 7.3590
_cell_angle_alpha 90.00
_cell_angle_beta 90.00
_cell_angle_gamma 90.00
_symmetry_space_group_name_H-M 'F -4 3 m'
_symmetry_Int_Tables_number 216
_symmetry_space_group_name_Hall 'F -4 2 3'
loop_
_atom_site_label
_atom_site_fract_x
_atom_site_fract_y
_atom_site_fract_z
Sm1 0.0000 0.0000 0.0000
Tm1 0.0000 0.0000 0.5000
Zn1 0.2500 0.2500 0.7500
Sn1 0.2500 0.2500 0.2500
```

The 10 most intense peaks (2θ = 10–80°), low angle first:
Position (°2θ)  d_spacing  I (rel.)
20.91  4.249  2
24.19  3.679  7
34.47  2.602  100
40.66  2.219  1
42.56  2.124  2
49.55  1.840  18
55.87  1.646  3
61.76  1.502  37
72.68  1.301  12
77.89  1.226  1